(1)
Diffraction record for Li5Nb3OF18. The powder X-ray diffraction pattern is theoretical, not measured: it uses a crystal structure in the Materials Project, relaxed with GGA-PBE and Cu Kα X-rays.
Kinematic intensities with the Lorentz-polarization factor, no thermal factor.

Top 12 peaks for 10 to 90 degrees two-theta, sorted by position:
2theta, intensity
18.74, 100
19.42, 21
21.73, 61
23.66, 31
25.61, 40
39.07, 16
40.69, 13
41.81, 14
41.92, 21
49.48, 16
58.64, 13
62.26, 14

Cell and atoms:
abc: 10.031 10.031 10.031
angles: 99.74 99.74 131.42
Sites, in units of the cell vectors:
Li 0.000 0.500 0.500
Li 0.118 0.795 0.157
Li 0.138 0.295 0.677
Li 0.295 0.618 0.157
Li 0.461 0.138 0.843
Li 0.500 0.000 0.500
Li 0.618 0.461 0.323
Li 0.638 0.961 0.843
Li 0.795 0.638 0.677
Li 0.961 0.118 0.323
Nb 0.057 0.557 0.836
Nb 0.124 0.124 0.000
Nb 0.221 0.057 0.500
Nb 0.557 0.721 0.500
Nb 0.624 0.624 0.000
Nb 0.721 0.221 0.164
O 0.341 0.341 0.000
O 0.841 0.841 0.000
F 0.007 0.927 0.320
F 0.063 0.235 0.125
F 0.063 0.800 0.500
F 0.079 0.441 0.662
F 0.107 0.427 0.920
F 0.110 0.938 0.875
F 0.174 0.230 0.500
F 0.187 0.107 0.680
F 0.230 0.730 0.056
F 0.235 0.110 0.172
F 0.279 0.941 0.362
F 0.289 0.789 0.826
F 0.300 0.563 0.500
F 0.417 0.079 0.638
F 0.427 0.507 0.320
F 0.438 0.610 0.875
F 0.441 0.779 0.362
F 0.463 0.289 0.500
F 0.507 0.187 0.080
F 0.563 0.063 0.262
F 0.563 0.438 0.828
F 0.579 0.917 0.638
F 0.607 0.687 0.680
F 0.610 0.735 0.172
F 0.674 0.174 0.944
F 0.687 0.007 0.080
F 0.730 0.674 0.500
F 0.735 0.563 0.125
F 0.779 0.417 0.338
F 0.789 0.963 0.500
F 0.800 0.300 0.738
F 0.917 0.279 0.338
F 0.927 0.607 0.920
F 0.938 0.063 0.828
F 0.941 0.579 0.662
F 0.963 0.463 0.174

(2)
Diffraction record for LiNb3O7F. The powder X-ray diffraction pattern is theoretical, not measured: it uses a crystal structure in the Materials Project, relaxed with GGA-PBE and Cu Kα X-rays.
Kinematic intensities with the Lorentz-polarization factor, no thermal factor.

Top 12 peaks for 10 to 90 degrees two-theta, sorted by position:
2theta, intensity
16.56, 20
21.95, 100
23.15, 79
24.95, 61
30.99, 39
32.12, 32
33.47, 32
44.77, 26
46.50, 22
51.96, 32
52.52, 26
57.60, 18

Cell and atoms:
abc: 3.906 4.048 10.882
angles: 90.00 100.30 90.00
Sites, in units of the cell vectors:
Li 0.000 0.000 0.000
Nb 0.535 0.500 0.072
Nb 0.741 0.500 0.434
Nb 0.899 0.500 0.796
O 0.011 0.500 0.022
O 0.230 0.500 0.435
O 0.427 0.500 0.853
O 0.530 0.000 0.062
O 0.627 0.500 0.246
O 0.817 0.500 0.624
O 0.908 0.000 0.817
F 0.733 0.000 0.435

(3)
Diffraction record for SrLiNb2O6F. The powder X-ray diffraction pattern is theoretical, not measured: it uses a crystal structure in the Materials Project, relaxed with GGA-PBE and Cu Kα X-rays.
Kinematic intensities with the Lorentz-polarization factor, no thermal factor.

Top 12 peaks for 10 to 90 degrees two-theta, sorted by position:
2theta, intensity
16.97, 20
23.35, 22
26.32, 100
31.49, 54
32.68, 43
34.34, 20
46.90, 35
48.13, 29
54.58, 25
57.58, 21
59.40, 16
81.71, 20

Cell and atoms:
abc: 10.800 10.800 10.800
angles: 159.33 159.33 29.39
Sites, in units of the cell vectors:
Sr 0.000 0.000 0.000
Li 0.750 0.250 0.500
Nb 0.382 0.382 0.000
Nb 0.618 0.618 0.000
O 0.092 0.592 0.500
O 0.296 0.296 0.000
O 0.408 0.908 0.500
O 0.593 0.093 0.500
O 0.704 0.704 0.000
O 0.907 0.407 0.500
F 0.500 0.500 0.000

(4)
Diffraction record for SrLiNb2O6F. The powder X-ray diffraction pattern is theoretical, not measured: it uses a crystal structure in the Materials Project, relaxed with GGA-PBE and Cu Kα X-rays.
Kinematic intensities with the Lorentz-polarization factor, no thermal factor.

Top 12 peaks for 10 to 90 degrees two-theta, sorted by position:
2theta, intensity
10.09, 100
20.25, 32
21.45, 22
25.56, 90
26.02, 77
29.17, 54
29.84, 41
32.71, 46
33.31, 44
41.17, 25
42.22, 67
54.81, 24

Cell and atoms:
abc: 9.217 5.989 6.125
angles: 90.00 107.91 90.00
Sites, in units of the cell vectors:
Sr 0.000 0.233 0.000
Sr 0.000 0.767 0.500
Li 0.547 0.009 0.080
Li 0.547 0.991 0.580
Nb 0.268 0.210 0.651
Nb 0.268 0.790 0.151
Nb 0.800 0.263 0.409
Nb 0.800 0.737 0.909
O 0.041 0.222 0.608
O 0.041 0.778 0.108
O 0.257 0.023 0.946
O 0.257 0.977 0.446
O 0.471 0.228 0.799
O 0.471 0.772 0.299
O 0.598 0.220 0.367
O 0.598 0.780 0.867
O 0.827 0.015 0.235
O 0.827 0.985 0.735
O 0.837 0.495 0.732
O 0.837 0.505 0.232
F 0.234 0.499 0.977
F 0.234 0.501 0.477

(5)
Diffraction record for LiTiPO4F. The powder X-ray diffraction pattern is theoretical, not measured: it uses a crystal structure in the Materials Project, relaxed with GGA-PBE and Cu Kα X-rays.
Kinematic intensities with the Lorentz-polarization factor, no thermal factor.

Top 12 peaks for 10 to 90 degrees two-theta, sorted by position:
2theta, intensity
17.66, 25
18.29, 42
18.46, 52
25.43, 34
26.13, 35
26.37, 75
26.48, 94
28.93, 100
34.54, 33
35.63, 47
41.45, 22
53.75, 27

Cell and atoms:
abc: 5.250 5.441 7.444
angles: 106.70 108.22 98.79
Sites, in units of the cell vectors:
Li 0.232 0.385 0.314
Li 0.768 0.615 0.686
Ti 0.500 0.000 0.000
Ti 0.500 0.000 0.500
P 0.178 0.360 0.739
P 0.822 0.640 0.261
O 0.132 0.754 0.411
O 0.194 0.659 0.844
O 0.245 0.216 0.889
O 0.367 0.339 0.612
O 0.633 0.661 0.388
O 0.755 0.784 0.111
O 0.806 0.341 0.156
O 0.868 0.246 0.589
F 0.370 0.075 0.237
F 0.630 0.925 0.763

(6)
Diffraction record for LiSO3F. The powder X-ray diffraction pattern is theoretical, not measured: it uses a crystal structure in the Materials Project, relaxed with GGA-PBE and Cu Kα X-rays.
Kinematic intensities with the Lorentz-polarization factor, no thermal factor.

Top 12 peaks for 10 to 90 degrees two-theta, sorted by position:
2theta, intensity
15.45, 9
20.63, 39
22.61, 100
23.09, 89
27.05, 31
31.19, 35
33.33, 11
33.79, 12
37.07, 14
50.44, 9
52.09, 11
54.60, 10

Cell and atoms:
abc: 5.773 5.773 5.308
angles: 91.22 91.22 83.51
Sites, in units of the cell vectors:
Li 0.193 0.807 0.000
Li 0.807 0.193 0.000
S 0.292 0.292 0.256
S 0.708 0.708 0.744
O 0.131 0.131 0.158
O 0.214 0.534 0.211
O 0.466 0.786 0.789
O 0.534 0.214 0.211
O 0.786 0.466 0.789
O 0.869 0.869 0.842
F 0.272 0.272 0.554
F 0.728 0.728 0.446

(7)
Diffraction record for Li2SbSO4F3. The powder X-ray diffraction pattern is theoretical, not measured: it uses a crystal structure in the Materials Project, relaxed with GGA-PBE and Cu Kα X-rays.
Kinematic intensities with the Lorentz-polarization factor, no thermal factor.

Top 12 peaks for 10 to 90 degrees two-theta, sorted by position:
2theta, intensity
12.20, 33
13.60, 60
16.98, 22
21.20, 100
24.32, 23
24.54, 48
27.40, 17
27.67, 21
28.81, 36
30.16, 26
37.16, 25
40.32, 17

Cell and atoms:
abc: 5.134 8.740 13.018
angles: 90.00 90.00 90.00
Sites, in units of the cell vectors:
Li 0.004 0.211 0.054
Li 0.041 0.507 0.721
Li 0.459 0.493 0.221
Li 0.496 0.789 0.554
Li 0.504 0.289 0.946
Li 0.541 0.993 0.279
Li 0.959 0.007 0.779
Li 0.996 0.711 0.446
Sb 0.057 0.558 0.974
Sb 0.443 0.442 0.474
Sb 0.557 0.942 0.026
Sb 0.943 0.058 0.526
S 0.027 0.796 0.178
S 0.473 0.204 0.678
S 0.527 0.704 0.822
S 0.973 0.296 0.322
O 0.024 0.381 0.424
O 0.156 0.647 0.146
O 0.207 0.887 0.241
O 0.225 0.270 0.271
O 0.275 0.730 0.771
O 0.293 0.113 0.741
O 0.344 0.353 0.646
O 0.476 0.619 0.924
O 0.524 0.119 0.576
O 0.656 0.853 0.854
O 0.707 0.613 0.759
O 0.725 0.230 0.729
O 0.775 0.770 0.229
O 0.793 0.387 0.259
O 0.844 0.147 0.354
O 0.976 0.881 0.076
F 0.110 0.413 0.854
F 0.208 0.889 0.480
F 0.225 0.602 0.545
F 0.275 0.398 0.045
F 0.292 0.111 0.980
F 0.390 0.587 0.354
F 0.610 0.087 0.146
F 0.708 0.611 0.520
F 0.725 0.898 0.455
F 0.775 0.102 0.955
F 0.792 0.389 0.020
F 0.890 0.913 0.646

(8)
Diffraction record for LiZnSO4F. The powder X-ray diffraction pattern is theoretical, not measured: it uses a crystal structure in the Materials Project, relaxed with GGA-PBE and Cu Kα X-rays.
Kinematic intensities with the Lorentz-polarization factor, no thermal factor.

Top 12 peaks for 10 to 90 degrees two-theta, sorted by position:
2theta, intensity
18.18, 18
23.48, 18
26.33, 100
27.99, 44
38.80, 33
40.22, 10
43.06, 13
44.27, 9
54.20, 10
56.59, 10
57.88, 11
59.35, 9

Cell and atoms:
abc: 7.565 6.375 7.579
angles: 90.00 90.00 90.00
Sites, in units of the cell vectors:
Li 0.000 0.000 0.000
Li 0.000 0.500 0.000
Li 0.500 0.000 0.500
Li 0.500 0.500 0.500
Zn 0.142 0.250 0.294
Zn 0.358 0.750 0.794
Zn 0.642 0.250 0.206
Zn 0.858 0.750 0.706
S 0.132 0.750 0.359
S 0.368 0.250 0.859
S 0.632 0.750 0.141
S 0.868 0.250 0.641
O 0.030 0.250 0.534
O 0.132 0.563 0.239
O 0.132 0.937 0.239
O 0.207 0.250 0.970
O 0.293 0.750 0.470
O 0.368 0.063 0.739
O 0.368 0.437 0.739
O 0.470 0.750 0.034
O 0.530 0.250 0.966
O 0.632 0.563 0.261
O 0.632 0.937 0.261
O 0.707 0.250 0.530
O 0.793 0.750 0.030
O 0.868 0.063 0.761
O 0.868 0.437 0.761
O 0.970 0.750 0.466
F 0.099 0.750 0.864
F 0.401 0.250 0.364
F 0.599 0.750 0.636
F 0.901 0.250 0.136